Starting from the PBE geometry in Alexandria, the powder diffractogram of Ta5VFe4 was computed for copper Kα.
No peak broadening, texture or thermal motion is included.

abc: 3.078 3.078 15.474
angles: 90.00 90.00 90.00
Space group P4/mmm (No. 123)
Inequivalent atoms, fractional coordinates:
Ta1 0.000 0.000 0.000 x1
Ta2 0.000 0.000 0.197 x2
Ta3 0.000 0.000 0.396 x2
V1 0.500 0.500 0.500 x1
Fe1 0.500 0.500 0.100 x2
Fe2 0.500 0.500 0.295 x2

Peak list (10 most intense, 2θ = 5–70°, in order of rising 2θ)
5.71°, d 15.474, I 1; 28.85°, d 3.095, I 17; 29.01°, d 3.078, I 34; 41.37°, d 2.182, I 100; 41.49°, d 2.176, I 50; 51.32°, d 1.780, I 15; 59.76°, d 1.547, I 8; 60.12°, d 1.539, I 17; 67.78°, d 1.383, I 7; 68.08°, d 1.377, I 13